# 1
Structure and computed powder diffractogram of IrC4 (a crystal structure in the Materials Project, relaxed with PBE; Cu Kα X-rays).
Peak positions follow from Bragg's law for the DFT cell and can differ from measured ones.

Principal peaks in the range 2θ from 15° to 90°, low angle first:
- 19.31°, rel. 665
- 23.79°, rel. 906
- 26.59°, rel. 386
- 31.68°, rel. 1000
- 37.99°, rel. 913
- 38.69°, rel. 442

Cell and atoms:
```
IrC4
1.0
4.898 0.000 0.000
0.000 7.462 0.000
0.000 0.000 9.194
Ir C
8 32
Direct
0.126 0.130 0.066
0.126 0.370 0.566
0.374 0.630 0.066
0.374 0.870 0.566
0.626 0.130 0.434
0.626 0.370 0.934
0.874 0.630 0.434
0.874 0.870 0.934
0.031 0.190 0.383
0.031 0.310 0.883
0.054 0.193 0.749
0.054 0.307 0.249
0.196 0.581 0.761
0.196 0.919 0.261
0.228 0.042 0.385
0.228 0.458 0.885
0.272 0.542 0.385
0.272 0.958 0.885
0.304 0.081 0.761
0.304 0.419 0.261
0.446 0.693 0.749
0.446 0.807 0.249
0.469 0.690 0.383
0.469 0.810 0.883
0.531 0.190 0.117
0.531 0.310 0.617
0.554 0.193 0.751
0.554 0.307 0.251
0.696 0.581 0.739
0.696 0.919 0.239
0.728 0.042 0.115
0.728 0.458 0.615
0.772 0.542 0.115
0.772 0.958 0.615
0.804 0.081 0.739
0.804 0.419 0.239
0.946 0.693 0.751
0.946 0.807 0.251
0.969 0.690 0.117
0.969 0.810 0.617
```

***

# 2
Structure and computed powder diffractogram of IrC6N9 (a crystal structure in the Materials Project, relaxed with PBE; Cu Kα X-rays).
Peak positions follow from Bragg's law for the DFT cell and can differ from measured ones.

Principal peaks in the range 2θ from 15° to 90°, low angle first:
- 15.34°, rel. 511
- 15.96°, rel. 1000
- 20.11°, rel. 368
- 24.38°, rel. 493
- 27.12°, rel. 543
- 43.55°, rel. 170

Cell and atoms:
```
IrC6N9
1.0
3.569 -6.852 0.000
3.569 6.852 0.000
0.000 0.000 11.549
Ir C N
2 12 18
Direct
0.219 0.781 0.750
0.781 0.219 0.250
0.025 0.292 0.750
0.198 0.485 0.101
0.198 0.485 0.399
0.292 0.025 0.250
0.485 0.198 0.601
0.485 0.198 0.899
0.515 0.802 0.101
0.515 0.802 0.399
0.708 0.975 0.750
0.802 0.515 0.601
0.802 0.515 0.899
0.975 0.708 0.250
0.027 0.355 0.135
0.027 0.355 0.365
0.088 0.912 0.250
0.139 0.478 0.750
0.355 0.027 0.635
0.355 0.027 0.865
0.381 0.619 0.056
0.381 0.619 0.444
0.478 0.139 0.250
0.522 0.861 0.750
0.619 0.381 0.556
0.619 0.381 0.944
0.645 0.973 0.135
0.645 0.973 0.365
0.861 0.522 0.250
0.912 0.088 0.750
0.973 0.645 0.635
0.973 0.645 0.865
```